No. 1
Theoretical X-ray powder pattern
Compound: Na2Ir2WS6
Radiation: λ = 1.5418 Å (Cu Kα)
Structure: a DFT-relaxed cell (GGA-PBE, Alexandria)
Kinematic intensities with the Lorentz-polarization factor, no thermal factor.

Most intense lines, 15° ≤ 2θ ≤ 90°, in order of rising 2θ:
- 2θ 27.18, I = 20.0
- 2θ 28.88, I = 38.8
- 2θ 29.12, I = 19.1
- 2θ 29.92, I = 25.6
- 2θ 34.01, I = 100.0
- 2θ 43.31, I = 36.0
- 2θ 46.89, I = 22.6
- 2θ 50.83, I = 22.0

Structure:
Cell: 6.203 10.883 6.891 Å, 90.00 107.81 90.00°
Space group C2/m (No. 12)
Asymmetric unit:
Na (0.000, 0.166, 0.000)
Ir (0.000, 0.334, 0.500)
W (0.000, 0.000, 0.500)
S (0.224, 0.500, 0.694)
S (0.233, 0.172, 0.690)

No. 2
Theoretical X-ray powder pattern
Compound: Na2Sb2Ir
Radiation: λ = 1.5418 Å (Cu Kα)
Structure: a DFT-relaxed cell (GGA-PBE, Alexandria)
Kinematic intensities with the Lorentz-polarization factor, no thermal factor.

Most intense lines, 15° ≤ 2θ ≤ 90°, in order of rising 2θ:
- 2θ 16.90, I = 100.0
- 2θ 29.20, I = 16.8
- 2θ 31.22, I = 14.1
- 2θ 33.92, I = 48.7
- 2θ 34.18, I = 28.1
- 2θ 41.76, I = 33.7
- 2θ 45.35, I = 41.0
- 2θ 55.03, I = 29.9

Structure:
Cell: 6.840 6.840 5.246 Å, 90.00 90.00 90.00°
Space group P4/mbm (No. 127)
Asymmetric unit:
Na (0.177, 0.323, 0.000)
Sb (0.147, 0.647, 0.500)
Ir (0.000, 0.000, 0.500)

No. 3
Theoretical X-ray powder pattern
Compound: Na2SbIr
Radiation: λ = 1.5418 Å (Cu Kα)
Structure: a DFT-relaxed cell (GGA-PBE, Alexandria)
Kinematic intensities with the Lorentz-polarization factor, no thermal factor.

Most intense lines, 15° ≤ 2θ ≤ 90°, in order of rising 2θ:
- 2θ 15.63, I = 100.0
- 2θ 22.17, I = 31.3
- 2θ 31.55, I = 24.8
- 2θ 35.39, I = 27.1
- 2θ 38.23, I = 22.0
- 2θ 44.64, I = 28.4
- 2θ 55.69, I = 14.8
- 2θ 60.67, I = 11.4

Structure:
Cell: 11.342 11.342 4.925 Å, 90.00 90.00 90.00°
Space group I4_1/amd (No. 141, origin choice 2)
Asymmetric unit:
Na (0.000, 0.000, 0.000)
Sb (0.000, 0.250, 0.375)
Ir (0.000, 0.250, 0.875)

No. 4
Theoretical X-ray powder pattern
Compound: NaIr5Se8
Radiation: λ = 1.5418 Å (Cu Kα)
Structure: a DFT-relaxed cell (GGA-PBE, Alexandria)
Kinematic intensities with the Lorentz-polarization factor, no thermal factor.

Most intense lines, 15° ≤ 2θ ≤ 90°, in order of rising 2θ:
- 2θ 27.59, I = 69.8
- 2θ 31.11, I = 61.2
- 2θ 37.61, I = 43.5
- 2θ 39.29, I = 50.1
- 2θ 41.65, I = 40.7
- 2θ 46.03, I = 64.6
- 2θ 48.03, I = 100.0
- 2θ 48.30, I = 48.9

Structure:
Cell: 19.742 3.768 8.774 Å, 90.00 107.08 90.00°
Space group Cm (No. 8)
Asymmetric unit:
Na (0.000, 0.000, 0.000)
Ir (0.090, 0.000, 0.422)
Ir (0.133, 0.000, 0.780)
Ir (0.232, 0.500, 0.135)
Ir (0.275, 0.500, 0.501)
Ir (0.430, 0.000, 0.457)
Se (0.008, 0.000, 0.586)
Se (0.014, 0.500, 0.280)
Se (0.112, 0.500, 0.944)
Se (0.167, 0.500, 0.606)
Se (0.198, 0.000, 0.317)
Se (0.254, 0.000, 0.972)
Se (0.351, 0.000, 0.641)
Se (0.353, 0.500, 0.331)

No. 5
Theoretical X-ray powder pattern
Compound: Na2Si7Ir12
Radiation: λ = 1.5418 Å (Cu Kα)
Structure: a DFT-relaxed cell (GGA-PBE, Alexandria)
Kinematic intensities with the Lorentz-polarization factor, no thermal factor.

Most intense lines, 15° ≤ 2θ ≤ 90°, in order of rising 2θ:
- 2θ 18.43, I = 24.5
- 2θ 28.31, I = 18.4
- 2θ 36.50, I = 100.0
- 2θ 45.47, I = 34.0
- 2θ 46.07, I = 21.3
- 2θ 47.52, I = 21.5
- 2θ 50.13, I = 17.1
- 2θ 68.36, I = 18.9

Structure:
Cell: 9.6297 9.6297 3.9404 Å, 90.00 90.00 120.00°
Space group P-6 (No. 174)
Asymmetric unit:
Na (0.0000, 0.0000, 0.0000)
Na (0.3333, 0.6667, 0.5000)
Si (0.0903, 0.4562, 0.0000)
Si (0.2620, 0.2132, 0.5000)
Si (0.6667, 0.3333, 0.0000)
Ir (0.0599, 0.2874, 0.5000)
Ir (0.0930, 0.7009, 0.0000)
Ir (0.3914, 0.1686, 0.0000)
Ir (0.5429, 0.4207, 0.5000)

No. 6
Theoretical X-ray powder pattern
Compound: NaSi7Ir3
Radiation: λ = 1.5418 Å (Cu Kα)
Structure: a DFT-relaxed cell (GGA-PBE, Alexandria)
Kinematic intensities with the Lorentz-polarization factor, no thermal factor.

Most intense lines, 15° ≤ 2θ ≤ 90°, in order of rising 2θ:
- 2θ 23.27, I = 15.9
- 2θ 26.91, I = 100.0
- 2θ 35.84, I = 14.9
- 2θ 40.88, I = 22.1
- 2θ 47.50, I = 31.8
- 2θ 49.62, I = 49.9
- 2θ 66.18, I = 14.7
- 2θ 71.11, I = 15.8

Structure:
Cell: 7.6465 7.6465 19.9056 Å, 90.00 90.00 120.00°
Space group R-3c (No. 167, hexagonal axes)
Asymmetric unit:
Na (0.0000, 0.0000, 0.0000)
Si (0.0000, 0.0000, 0.2500)
Si (0.0130, 0.2017, 0.1362)
Ir (0.0000, 0.3202, 0.2500)

No. 7
Theoretical X-ray powder pattern
Compound: Na3SnIr
Radiation: λ = 1.5418 Å (Cu Kα)
Structure: a DFT-relaxed cell (GGA-PBE, Alexandria)
Kinematic intensities with the Lorentz-polarization factor, no thermal factor.

Most intense lines, 15° ≤ 2θ ≤ 90°, in order of rising 2θ:
- 2θ 23.46, I = 100.0
- 2θ 33.42, I = 37.3
- 2θ 41.24, I = 47.0
- 2θ 47.99, I = 27.1
- 2θ 54.08, I = 21.8
- 2θ 65.08, I = 25.4
- 2θ 75.17, I = 12.9
- 2θ 80.02, I = 12.1

Structure:
Cell: 5.362 5.362 5.362 Å, 90.00 90.00 90.00°
Space group Pm-3m (No. 221)
Asymmetric unit:
Na (0.000, 0.000, 0.500)
Sn (0.500, 0.500, 0.500)
Ir (0.000, 0.000, 0.000)

No. 8
Theoretical X-ray powder pattern
Compound: Na3Sr8Ir
Radiation: λ = 1.5418 Å (Cu Kα)
Structure: a DFT-relaxed cell (GGA-PBE, Alexandria)
Kinematic intensities with the Lorentz-polarization factor, no thermal factor.

Most intense lines, 15° ≤ 2θ ≤ 90°, in order of rising 2θ:
- 2θ 25.23, I = 42.2
- 2θ 26.62, I = 100.0
- 2θ 27.33, I = 57.7
- 2θ 29.27, I = 85.6
- 2θ 30.45, I = 39.6
- 2θ 32.20, I = 47.1
- 2θ 38.52, I = 66.9
- 2θ 49.08, I = 34.0

Structure:
Cell: 12.2044 12.2044 8.6573 Å, 90.00 90.00 120.00°
Space group P6_3mc (No. 186)
Asymmetric unit:
Na (0.1559, 0.3118, 0.0000)
Sr (0.0000, 0.0000, 0.2416)
Sr (0.0613, 0.5307, 0.7558)
Sr (0.2142, 0.4285, 0.4525)
Sr (0.3333, 0.6667, 0.0474)
Ir (0.3333, 0.6667, 0.6620)